Starting from DFT lattice parameters and positions (GGA+U), the X-ray diffraction stick pattern of LiMnBO3 was simulated for Cu Kα X-rays.
Kinematic intensities with the Lorentz-polarization factor, no thermal factor.

Peak list (8 most intense, 10° ≤ 2θ ≤ 90°, low angle first)
| Position (°2θ) | I_rel | h k l |
| --- | --- | --- |
| 13.45 | 68 | 0 2 0 |
| 30.19 | 73 | 0 0 2 |
| 30.76 | 62 | 2 0 0 |
| 34.79 | 100 | 1 4 1 |
| 41.13 | 52 | 0 6 0 |
| 43.64 | 75 | 2 0 2 |
| 56.63 | 43 | 1 4 3 |
| 57.32 | 43 | 3 4 1 |

Crystal structure
```
LiMnBO3
1.0
5.8143 0.0000 0.0000
0.0000 13.1689 0.0000
0.0000 0.0000 5.9212
Li Mn B O
8 8 8 24
direct
0.0008 0.2500 0.2338
0.0008 0.2500 0.7338
0.4992 0.7500 0.2338
0.4992 0.7500 0.7338
0.5008 0.2500 0.2662
0.5008 0.2500 0.7662
0.9992 0.7500 0.2662
0.9992 0.7500 0.7662
0.2494 0.5676 0.9999
0.2494 0.9324 0.4999
0.2506 0.0676 0.9999
0.2506 0.4324 0.4999
0.7494 0.5676 0.5001
0.7494 0.9324 0.0001
0.7506 0.0676 0.5001
0.7506 0.4324 0.0001
0.2491 0.6459 0.4996
0.2491 0.8541 0.9996
0.2509 0.1459 0.4996
0.2509 0.3541 0.9996
0.7491 0.6459 0.0004
0.7491 0.8541 0.5004
0.7509 0.1459 0.0004
0.7509 0.3541 0.5004
0.0997 0.5916 0.3597
0.0997 0.9084 0.8597
0.1021 0.0913 0.6395
0.1021 0.4087 0.1395
0.2505 0.2498 0.9997
0.2505 0.2502 0.4997
0.2495 0.7498 0.9997
0.2495 0.7502 0.4997
0.3979 0.5913 0.6395
0.3979 0.9087 0.1395
0.4003 0.0916 0.3597
0.4003 0.4084 0.8597
0.5997 0.5916 0.1403
0.5997 0.9084 0.6403
0.6021 0.0913 0.8605
0.6021 0.4087 0.3605
0.7505 0.2502 0.0003
0.7505 0.2498 0.5003
0.7495 0.7502 0.0003
0.7495 0.7498 0.5003
0.8979 0.5913 0.8605
0.8979 0.9087 0.3605
0.9003 0.0916 0.1403
0.9003 0.4084 0.6403
```